This entry pairs a crystal structure of LiFeF5 with its computed XRD peak list. Radiation: Cu Kα (weighted mean of Kα1 and Kα2). Structure: a crystal structure in the Materials Project, relaxed with PBE+U.

Crystal structure
```
LiFeF5
1.0
16.020 0.000 0.000
0.000 5.580 0.000
0.000 0.000 4.770
Li Fe F
4 4 20
direct
0.075 0.250 0.087
0.425 0.750 0.587
0.575 0.250 0.413
0.925 0.750 0.913
0.134 0.750 0.539
0.366 0.250 0.039
0.634 0.750 0.961
0.866 0.250 0.461
0.034 0.750 0.741
0.110 0.529 0.273
0.110 0.971 0.273
0.185 0.521 0.733
0.185 0.979 0.733
0.315 0.021 0.233
0.315 0.479 0.233
0.390 0.029 0.773
0.390 0.471 0.773
0.466 0.250 0.241
0.534 0.750 0.759
0.610 0.529 0.227
0.610 0.971 0.227
0.685 0.521 0.767
0.685 0.979 0.767
0.815 0.021 0.267
0.815 0.479 0.267
0.890 0.029 0.727
0.890 0.471 0.727
0.966 0.250 0.259
```

Principal peaks in the range 2θ from 10° to 80°, most intense first:
19.39°, rel. 1000
22.20°, rel. 371
25.18°, rel. 312
25.03°, rel. 214
43.87°, rel. 151
29.78°, rel. 138
55.65°, rel. 128
50.33°, rel. 118
37.46°, rel. 109
29.11°, rel. 101
24.55°, rel. 98
38.65°, rel. 88



This entry pairs a crystal structure of CaV2O4 with its computed XRD peak list. Radiation: Cu Kα (weighted mean of Kα1 and Kα2). Structure: a crystal structure in the Materials Project, relaxed with PBE+U.

Crystal structure
```
CaV2O4
1.0
5.461 -3.146 0.000
5.461 3.146 0.000
-0.039 0.000 15.475
Ca V O
6 12 24
direct
0.000 0.000 0.000
0.000 0.000 0.243
0.333 0.333 0.333
0.333 0.333 0.581
0.334 0.334 0.956
0.667 0.667 0.665
0.000 0.000 0.618
0.004 0.498 0.125
0.163 0.163 0.786
0.165 0.675 0.786
0.333 0.834 0.455
0.498 0.004 0.125
0.498 0.498 0.125
0.667 0.667 0.290
0.667 0.667 0.911
0.675 0.165 0.786
0.832 0.832 0.455
0.834 0.333 0.455
0.001 0.504 0.859
0.006 0.006 0.388
0.140 0.710 0.530
0.142 0.142 0.535
0.182 0.635 0.059
0.183 0.183 0.059
0.283 0.864 0.709
0.334 0.334 0.193
0.334 0.334 0.725
0.388 0.805 0.200
0.500 0.500 0.859
0.504 0.001 0.859
0.520 0.955 0.382
0.526 0.526 0.375
0.635 0.182 0.059
0.660 0.660 0.522
0.666 0.666 0.036
0.710 0.140 0.530
0.805 0.388 0.200
0.806 0.806 0.201
0.859 0.859 0.707
0.864 0.283 0.709
0.955 0.520 0.382
0.999 0.999 0.853
```

Principal peaks in the range 2θ from 10° to 80°, most intense first:
33.29°, rel. 1000
33.37°, rel. 998
53.44°, rel. 568
17.22°, rel. 537
58.58°, rel. 515
28.30°, rel. 480
40.51°, rel. 409
58.47°, rel. 332
53.29°, rel. 274
40.39°, rel. 206
58.70°, rel. 174
69.11°, rel. 122



This entry pairs a crystal structure of Li3Fe5OF11 with its computed XRD peak list. Radiation: Cu Kα (weighted mean of Kα1 and Kα2). Structure: a crystal structure in the Materials Project, relaxed with PBE+U.

Crystal structure
```
Li3Fe5OF11
1.0
5.256 0.000 0.000
2.568 5.075 0.000
0.146 3.021 8.785
Li Fe O F
3 5 1 11
direct
0.000 0.000 0.000
0.221 0.263 0.728
0.745 0.736 0.238
0.065 0.200 0.348
0.304 0.471 0.089
0.535 0.464 0.499
0.564 0.739 0.852
0.837 0.975 0.595
0.951 0.223 0.539
0.002 0.554 0.889
0.003 0.860 0.191
0.075 0.305 0.147
0.097 0.610 0.450
0.126 0.965 0.804
0.469 0.716 0.049
0.499 0.388 0.708
0.517 0.046 0.384
0.581 0.122 0.956
0.584 0.827 0.643
0.604 0.478 0.287
```

Principal peaks in the range 2θ from 10° to 80°, most intense first:
17.95°, rel. 1000
22.87°, rel. 596
49.07°, rel. 562
25.57°, rel. 526
31.63°, rel. 444
53.57°, rel. 429
36.36°, rel. 397
32.50°, rel. 376
30.55°, rel. 301
37.41°, rel. 279
48.09°, rel. 257
38.78°, rel. 222